For SmPa6Se8, a GGA-PBE-relaxed structure gives the theoretical powder diffractogram in this record (Cu Kα (λ = 1.5418 Å)).
No peak broadening, texture or thermal motion is included.

Main lines, low angle first (2θ = 10–90°):
27.0°, I 31; 31.2°, I 100; 44.8°, I 75; 53.0°, I 17; 55.6°, I 26; 65.1°, I 12; 74.0°, I 34; 82.5°, I 26

a = 8.1005 Å, b = 8.1005 Å, c = 8.1005 Å
α = 60.00°, β = 60.00°, γ = 60.00°
Atoms (fractional coordinates):
Sm 0.0000 0.0000 0.0000
Pa 0.0000 0.0000 0.5000
Pa 0.0000 0.5000 0.0000
Pa 0.0000 0.5000 0.5000
Pa 0.5000 0.0000 0.0000
Pa 0.5000 0.0000 0.5000
Pa 0.5000 0.5000 0.0000
Se 0.2500 0.2500 0.2500
Se 0.2610 0.2610 0.7390
Se 0.2610 0.7390 0.2610
Se 0.2610 0.7390 0.7390
Se 0.7390 0.2610 0.2610
Se 0.7390 0.2610 0.7390
Se 0.7390 0.7390 0.2610
Se 0.7500 0.7500 0.7500